This entry pairs a crystal structure of Ba3MgV2O8 with its simulated powder diffraction line list. Radiation: a wavelength of 1.5418 Å. Structure: a cell relaxed with PBE+U.

The 6 most intense peaks (5° ≤ 2θ ≤ 70°), most intense first:
2θ = 26.31°, I = 100.0; 2θ = 29.03°, I = 95.7; 2θ = 27.72°, I = 65.3; 2θ = 33.24°, I = 42.2; 2θ = 29.75°, I = 38.1; 2θ = 26.81°, I = 35.0

Cell and atoms:
Cell lengths 6.176, 6.179, 7.888 Å; angles 112.81, 93.69, 114.87 degrees
Fractional positions:
Ba 0.000 0.000 0.000
Ba 0.046 0.226 0.587
Ba 0.406 0.769 0.176
Mg 0.527 0.709 0.589
V 0.588 0.193 0.831
V 0.766 0.525 0.345
O 0.381 0.321 0.893
O 0.420 0.407 0.329
O 0.487 0.864 0.849
O 0.541 0.020 0.565
O 0.833 0.256 0.282
O 0.862 0.745 0.611
O 0.874 0.771 0.260
O 0.919 0.385 0.914